(1)
This entry pairs a crystal structure of MnV2Fe3P6O24 with its theoretical PXRD pattern. Radiation: CuKα. Structure: a PBE+U-relaxed structure.
Peak positions follow from Bragg's law for the DFT cell and can differ from measured ones.

Structural model:
abc: 8.4289 8.4289 8.4289
angles: 62.02 62.02 62.02
Fractional positions:
Mn 0.0000 0.0000 0.0000
V 0.1464 0.1464 0.1464
V 0.6466 0.6466 0.6466
Fe 0.2938 0.2938 0.2938
Fe 0.5007 0.5007 0.5007
Fe 0.7943 0.7943 0.7943
P 0.0996 0.6936 0.4005
P 0.1977 0.5962 0.8981
P 0.4005 0.0996 0.6936
P 0.5962 0.8981 0.1977
P 0.6936 0.4005 0.0996
P 0.8981 0.1977 0.5962
O 0.0395 0.6438 0.8269
O 0.0503 0.2105 0.3909
O 0.0907 0.8968 0.2491
O 0.1415 0.5402 0.3255
O 0.1651 0.7432 0.9737
O 0.2105 0.3909 0.0503
O 0.2491 0.0907 0.8968
O 0.2508 0.6443 0.4808
O 0.3255 0.1415 0.5402
O 0.3909 0.0503 0.2105
O 0.4009 0.5766 0.7440
O 0.4808 0.2508 0.6443
O 0.5402 0.3255 0.1415
O 0.5510 0.8952 0.7112
O 0.5766 0.7440 0.4009
O 0.6443 0.4808 0.2508
O 0.6438 0.8269 0.0395
O 0.7112 0.5510 0.8952
O 0.7432 0.9737 0.1651
O 0.7440 0.4009 0.5766
O 0.8269 0.0395 0.6438
O 0.8952 0.7112 0.5510
O 0.8968 0.2491 0.0907
O 0.9737 0.1651 0.7432

Most intense lines, 2θ from 10° to 80°, in order of falling intensity:
2θ = 24.35°, d = 3.656 Å, I = 100; 2θ = 20.45°, d = 4.342 Å, I = 74; 2θ = 33.55°, d = 2.671 Å, I = 67; 2θ = 35.82°, d = 2.507 Å, I = 39; 2θ = 49.89°, d = 1.828 Å, I = 27; 2θ = 48.03°, d = 1.894 Å, I = 23

***

(2)
This entry pairs a crystal structure of MnV4FePb4O18 with its theoretical PXRD pattern. Radiation: CuKα. Structure: a PBE+U-relaxed structure.
Peak positions follow from Bragg's law for the DFT cell and can differ from measured ones.

Structural model:
abc: 5.9140 8.4972 9.0522
angles: 66.58 88.67 87.09
Fractional positions:
Mn 0.0000 0.0000 0.0000
V 0.2421 0.5916 0.1904
V 0.2444 0.0117 0.3127
V 0.7556 0.9883 0.6873
V 0.7579 0.4084 0.8096
Fe 0.5000 0.0000 0.0000
Pb 0.2207 0.6832 0.7408
Pb 0.2893 0.2893 0.6034
Pb 0.7107 0.7107 0.3966
Pb 0.7793 0.3168 0.2592
O 0.0024 0.9530 0.8079
O 0.0054 0.5184 0.3138
O 0.2055 0.1460 0.4096
O 0.2415 0.8272 0.0980
O 0.2434 0.5127 0.0483
O 0.2487 0.1469 0.9114
O 0.2916 0.8001 0.4490
O 0.4848 0.5126 0.3107
O 0.4890 0.0613 0.1894
O 0.5110 0.9387 0.8106
O 0.5152 0.4874 0.6893
O 0.7084 0.1999 0.5510
O 0.7513 0.8531 0.0886
O 0.7566 0.4873 0.9517
O 0.7585 0.1728 0.9020
O 0.7945 0.8540 0.5904
O 0.9946 0.4816 0.6862
O 0.9976 0.0470 0.1921

Most intense lines, 2θ from 10° to 80°, in order of falling intensity:
2θ = 18.43°, d = 4.815 Å, I = 100; 2θ = 25.27°, d = 3.524 Å, I = 93; 2θ = 28.12°, d = 3.174 Å, I = 69; 2θ = 26.54°, d = 3.359 Å, I = 68; 2θ = 43.31°, d = 2.089 Å, I = 67; 2θ = 29.64°, d = 3.014 Å, I = 63

***

(3)
This entry pairs a crystal structure of PuMnFe2O8 with its theoretical PXRD pattern. Radiation: CuKα. Structure: a PBE+U-relaxed structure.
Peak positions follow from Bragg's law for the DFT cell and can differ from measured ones.

Structural model:
abc: 4.7902 6.0348 4.7992
angles: 90.00 93.79 90.00
Fractional positions:
Pu 0.0000 0.0000 0.0000
Mn 0.0000 0.5000 0.0000
Fe 0.5000 0.2582 0.5000
Fe 0.5000 0.7418 0.5000
O 0.1842 0.2592 0.8175
O 0.1842 0.7408 0.8175
O 0.3079 0.5000 0.3095
O 0.3181 0.0000 0.3198
O 0.6819 0.0000 0.6802
O 0.6921 0.5000 0.6905
O 0.8158 0.2592 0.1825
O 0.8158 0.7408 0.1825

Most intense lines, 2θ from 10° to 80°, in order of falling intensity:
2θ = 35.16°, d = 2.552 Å, I = 100; 2θ = 25.44°, d = 3.501 Å, I = 86; 2θ = 27.22°, d = 3.276 Å, I = 72; 2θ = 23.73°, d = 3.749 Å, I = 67; 2θ = 18.55°, d = 4.784 Å, I = 55; 2θ = 51.43°, d = 1.777 Å, I = 51

***

(4)
This entry pairs a crystal structure of RbMnFeO4 with its theoretical PXRD pattern. Radiation: CuKα. Structure: a PBE+U-relaxed structure.
Peak positions follow from Bragg's law for the DFT cell and can differ from measured ones.

Structural model:
abc: 5.5471 5.5048 7.1701
angles: 90.00 99.74 90.00
Fractional positions:
Rb 0.1711 0.2500 0.0963
Rb 0.8289 0.7500 0.9037
Mn 0.1402 0.7500 0.4583
Mn 0.8598 0.2500 0.5417
Fe 0.3967 0.2500 0.6475
Fe 0.6033 0.7500 0.3525
O 0.1251 0.0219 0.6556
O 0.1251 0.4781 0.6556
O 0.2829 0.7500 0.2199
O 0.4774 0.7500 0.5792
O 0.5226 0.2500 0.4208
O 0.7171 0.2500 0.7801
O 0.8749 0.5219 0.3444
O 0.8749 0.9781 0.3444

Most intense lines, 2θ from 10° to 80°, in order of falling intensity:
2θ = 30.05°, d = 2.974 Å, I = 100; 2θ = 27.53°, d = 3.240 Å, I = 87; 2θ = 32.53°, d = 2.752 Å, I = 75; 2θ = 27.64°, d = 3.227 Å, I = 70; 2θ = 36.99°, d = 2.430 Å, I = 61; 2θ = 12.53°, d = 7.067 Å, I = 55

***

(5)
This entry pairs a crystal structure of Mn3Fe2Sb3O16 with its theoretical PXRD pattern. Radiation: CuKα. Structure: a PBE+U-relaxed structure.
Peak positions follow from Bragg's law for the DFT cell and can differ from measured ones.

Structural model:
abc: 6.1024 6.1024 9.1008
angles: 90.46 90.46 59.21
Fractional positions:
Mn 0.0000 0.0000 0.0000
Mn 0.1684 0.6643 0.4957
Mn 0.6643 0.1684 0.4957
Fe 0.1565 0.1565 0.2848
Fe 0.4869 0.4869 0.7769
Sb 0.0005 0.4963 0.9971
Sb 0.4963 0.0005 0.9971
Sb 0.6649 0.6649 0.4980
O 0.1591 0.6661 0.8906
O 0.1798 0.1798 0.8711
O 0.3089 0.8766 0.1202
O 0.3107 0.3107 0.1313
O 0.3449 0.7855 0.6210
O 0.3553 0.3553 0.6125
O 0.4938 0.4938 0.3857
O 0.4994 0.9974 0.3903
O 0.6652 0.6652 0.8796
O 0.6661 0.1591 0.8906
O 0.7855 0.3449 0.6210
O 0.8191 0.8191 0.1131
O 0.8372 0.8372 0.6005
O 0.8766 0.3089 0.1202
O 0.9930 0.9930 0.3898
O 0.9974 0.4994 0.3903

Most intense lines, 2θ from 10° to 80°, in order of falling intensity:
2θ = 19.49°, d = 4.554 Å, I = 100; 2θ = 35.59°, d = 2.523 Å, I = 31; 2θ = 35.70°, d = 2.515 Å, I = 29; 2θ = 19.58°, d = 4.533 Å, I = 27; 2θ = 45.63°, d = 1.988 Å, I = 24; 2θ = 35.31°, d = 2.542 Å, I = 20

***

(6)
This entry pairs a crystal structure of Mn3Fe3Sb2O16 with its theoretical PXRD pattern. Radiation: CuKα. Structure: a PBE+U-relaxed structure.
Peak positions follow from Bragg's law for the DFT cell and can differ from measured ones.

Structural model:
abc: 5.8813 5.8813 9.3151
angles: 90.93 90.93 59.88
Fractional positions:
Mn 0.0000 0.0000 0.0000
Mn 0.1678 0.6630 0.4997
Mn 0.6630 0.1678 0.4997
Fe 0.0003 0.4970 0.9975
Fe 0.4970 0.0003 0.9975
Fe 0.6641 0.6641 0.4970
Sb 0.1646 0.1646 0.2768
Sb 0.4978 0.4978 0.7781
O 0.0005 0.5000 0.3861
O 0.1627 0.1627 0.8991
O 0.1632 0.6677 0.8874
O 0.3037 0.8657 0.1267
O 0.3109 0.3109 0.1309
O 0.3371 0.7912 0.6287
O 0.3480 0.3480 0.6196
O 0.4958 0.4958 0.3984
O 0.5000 0.0005 0.3861
O 0.6657 0.6657 0.8848
O 0.6677 0.1632 0.8874
O 0.7912 0.3371 0.6287
O 0.8322 0.8322 0.5940
O 0.8337 0.8337 0.0929
O 0.8657 0.3037 0.1267
O 0.9963 0.9963 0.3911

Most intense lines, 2θ from 10° to 80°, in order of falling intensity:
2θ = 19.98°, d = 4.443 Å, I = 100; 2θ = 19.81°, d = 4.482 Å, I = 68; 2θ = 36.40°, d = 2.468 Å, I = 41; 2θ = 19.70°, d = 4.506 Å, I = 34; 2θ = 35.85°, d = 2.505 Å, I = 30; 2θ = 36.72°, d = 2.447 Å, I = 30

***

(7)
This entry pairs a crystal structure of MnFeSiO4 with its theoretical PXRD pattern. Radiation: CuKα. Structure: a PBE+U-relaxed structure.
Peak positions follow from Bragg's law for the DFT cell and can differ from measured ones.

Structural model:
abc: 10.6076 6.2737 4.9294
angles: 90.00 90.00 90.00
Fractional positions:
Mn 0.0000 0.0000 0.0000
Mn 0.0000 0.5000 0.0000
Mn 0.5000 0.0000 0.5000
Mn 0.5000 0.5000 0.5000
Fe 0.2198 0.2500 0.4853
Fe 0.2802 0.7500 0.9853
Fe 0.7198 0.2500 0.0147
Fe 0.7802 0.7500 0.5147
Si 0.0994 0.7500 0.4307
Si 0.4006 0.2500 0.9307
Si 0.5994 0.7500 0.0693
Si 0.9006 0.2500 0.5693
O 0.0452 0.2500 0.7068
O 0.0953 0.7500 0.7628
O 0.1677 0.5392 0.2907
O 0.1677 0.9608 0.2907
O 0.3323 0.0392 0.7907
O 0.3323 0.4608 0.7907
O 0.4047 0.2500 0.2628
O 0.4548 0.7500 0.2068
O 0.5452 0.2500 0.7932
O 0.5953 0.7500 0.7372
O 0.6677 0.5392 0.2093
O 0.6677 0.9608 0.2093
O 0.8323 0.0392 0.7093
O 0.8323 0.4608 0.7093
O 0.9047 0.2500 0.2372
O 0.9548 0.7500 0.2932

Most intense lines, 2θ from 10° to 80°, in order of falling intensity:
2θ = 34.94°, d = 2.568 Å, I = 100; 2θ = 31.13°, d = 2.873 Å, I = 91; 2θ = 50.11°, d = 1.820 Å, I = 76; 2θ = 34.33°, d = 2.612 Å, I = 66; 2θ = 24.45°, d = 3.641 Å, I = 61; 2θ = 33.18°, d = 2.700 Å, I = 33

***

(8)
This entry pairs a crystal structure of Mn2FeSnO4 with its theoretical PXRD pattern. Radiation: CuKα. Structure: a PBE+U-relaxed structure.
Peak positions follow from Bragg's law for the DFT cell and can differ from measured ones.

Structural model:
abc: 5.7045 3.2444 5.8849
angles: 90.00 110.47 90.00
Fractional positions:
Mn 0.0000 0.0000 0.0000
Mn 0.5000 0.5000 0.0000
Fe 0.0000 0.5000 0.5000
Sn 0.5000 0.0000 0.5000
O 0.2119 0.0000 0.7345
O 0.2471 0.5000 0.1979
O 0.7529 0.5000 0.8021
O 0.7881 0.0000 0.2655

Most intense lines, 2θ from 10° to 80°, in order of falling intensity:
2θ = 38.91°, d = 2.315 Å, I = 100; 2θ = 33.43°, d = 2.681 Å, I = 63; 2θ = 37.82°, d = 2.379 Å, I = 53; 2θ = 32.48°, d = 2.757 Å, I = 36; 2θ = 54.68°, d = 1.679 Å, I = 33; 2θ = 33.54°, d = 2.672 Å, I = 32